Entry 1:
For AlHSe2, DFT lattice parameters and positions (GGA-PBE) gives the calculated powder diffraction line list in this record (λ = 1.5418 Å (Cu Kα)).
Peak positions follow from Bragg's law for the DFT cell and can differ from measured ones.

Cell and atoms:
```
data_AlHSe2
_chemical_formula_sum 'Al4 H4 Se8'
_cell_length_a 13.478
_cell_length_b 5.077
_cell_length_c 6.246
_cell_angle_alpha 90.00
_cell_angle_beta 117.37
_cell_angle_gamma 90.00
_symmetry_space_group_name_H-M 'C 1 c 1'
_symmetry_Int_Tables_number 9
loop_
_symmetry_equiv_pos_as_xyz
'x,y,z'
'x,-y,z+1/2'
'x+1/2,y+1/2,z'
'x+1/2,-y+1/2,z+1/2'
loop_
_atom_site_label
_atom_site_type_symbol
_atom_site_fract_x
_atom_site_fract_y
_atom_site_fract_z
Al1 Al 0.000 0.000 0.000
H1 H 0.290 0.473 0.041
Se1 Se 0.097 0.265 0.346
Se2 Se 0.374 0.252 0.125
```

Principal peaks in the range 2θ from 10° to 80°, sorted by position:
| two_theta | Rel. int. | hkl |
| --- | --- | --- |
| 14.8 | 124 | 2 0 0 |
| 27.1 | 1000 | 3 1 -1 |
| 28.6 | 158 | 2 0 -2 |
| 29.9 | 123 | 4 0 0 |
| 41.7 | 103 | 2 0 2 |
| 41.9 | 95 | 6 0 -2 |
| 46.1 | 157 | 2 2 -2 |
| 46.9 | 134 | 4 2 0 |
| 49.8 | 91 | 5 1 -3 |
| 58.6 | 106 | 3 3 -1 |

---

Entry 2:
For AlHSe2, DFT lattice parameters and positions (GGA-PBE) gives the calculated powder diffraction line list in this record (λ = 1.5418 Å (Cu Kα)).
Peak positions follow from Bragg's law for the DFT cell and can differ from measured ones.

Cell and atoms:
```
data_AlHSe2
_chemical_formula_sum 'Al2 H2 Se4'
_cell_length_a 6.472
_cell_length_b 3.933
_cell_length_c 6.422
_cell_angle_alpha 90.00
_cell_angle_beta 91.75
_cell_angle_gamma 90.00
_symmetry_space_group_name_H-M 'P 1 c 1'
_symmetry_Int_Tables_number 7
loop_
_symmetry_equiv_pos_as_xyz
'x,y,z'
'x,-y,z+1/2'
loop_
_atom_site_label
_atom_site_type_symbol
_atom_site_fract_x
_atom_site_fract_y
_atom_site_fract_z
Al1 Al 0.000 0.139 0.000
H1 H 0.413 0.056 0.754
Se1 Se 0.263 0.229 0.285
Se2 Se 0.817 0.318 0.674
```

Principal peaks in the range 2θ from 10° to 80°, sorted by position:
| two_theta | Rel. int. | hkl |
| --- | --- | --- |
| 13.7 | 415 | 1 0 0 |
| 27.6 | 435 | 2 0 0 |
| 27.8 | 249 | 0 0 2 |
| 29.8 | 1000 | 1 1 -1 |
| 30.2 | 693 | 1 1 1 |
| 31.5 | 227 | 1 0 2 |
| 38.4 | 284 | 2 1 -1 |
| 40.2 | 294 | 2 0 2 |
| 48.4 | 352 | 0 1 3 |
| 50.7 | 316 | 3 1 1 |

---

Entry 3:
For AlHSe2, DFT lattice parameters and positions (GGA-PBE) gives the calculated powder diffraction line list in this record (λ = 1.5418 Å (Cu Kα)).
Peak positions follow from Bragg's law for the DFT cell and can differ from measured ones.

Cell and atoms:
```
data_AlHSe2
_chemical_formula_sum 'Al2 H2 Se4'
_cell_length_a 6.186
_cell_length_b 5.546
_cell_length_c 5.591
_cell_angle_alpha 90.00
_cell_angle_beta 90.00
_cell_angle_gamma 90.00
_symmetry_space_group_name_H-M 'P m a 2'
_symmetry_Int_Tables_number 28
loop_
_symmetry_equiv_pos_as_xyz
'x,y,z'
'-x,-y,z'
'-x+1/2,y,z'
'x+1/2,-y,z'
loop_
_atom_site_label
_atom_site_type_symbol
_atom_site_fract_x
_atom_site_fract_y
_atom_site_fract_z
Al1 Al 0.000 0.000 0.000
H1 H 0.250 0.039 0.455
Se1 Se 0.250 0.236 0.260
Se2 Se 0.250 0.762 0.780
```

Principal peaks in the range 2θ from 10° to 80°, sorted by position:
| two_theta | Rel. int. | hkl |
| --- | --- | --- |
| 26.8 | 1000 | 1 1 1 |
| 28.9 | 147 | 2 0 0 |
| 32.0 | 107 | 0 0 2 |
| 32.3 | 101 | 0 2 0 |
| 43.6 | 175 | 2 0 2 |
| 43.8 | 172 | 2 2 0 |
| 46.1 | 148 | 0 2 2 |
| 49.9 | 175 | 3 1 1 |
| 54.0 | 134 | 1 1 3 |
| 54.3 | 128 | 1 3 1 |